No. 1
This entry pairs a crystal structure of Mg14GaCu with its theoretical PXRD pattern. Radiation: λ = 1.5418 Å (Cu Kα). Structure: a structure optimized by DFT (GGA-PBE).

The 10 most intense peaks (10 to 80 degrees two-theta), in order of rising 2θ:
18.66 deg, I 14
33.05 deg, I 26
35.28 deg, I 38
37.60 deg, I 100
37.84 deg, I 49
49.11 deg, I 16
59.37 deg, I 16
64.85 deg, I 17
70.98 deg, I 18
72.13 deg, I 13

Atomic structure:
a = 10.177 Å, b = 6.227 Å, c = 6.227 Å
α = 60.51°, β = 90.00°, γ = 90.00°
Positions (direct):
Mg 0.000 0.000 0.000
Mg 0.000 0.003 0.501
Mg 0.000 0.500 0.500
Mg 0.000 0.501 0.003
Mg 0.252 0.667 0.667
Mg 0.257 0.165 0.165
Mg 0.268 0.170 0.674
Mg 0.268 0.674 0.170
Mg 0.500 0.496 0.995
Mg 0.500 0.995 0.496
Mg 0.732 0.170 0.674
Mg 0.732 0.674 0.170
Mg 0.743 0.165 0.165
Mg 0.748 0.667 0.667
Ga 0.500 0.504 0.504
Cu 0.500 0.006 0.006

=====

No. 2
This entry pairs a crystal structure of LiLu2Rh with its theoretical PXRD pattern. Radiation: λ = 1.5418 Å (Cu Kα). Structure: a structure optimized by DFT (GGA-PBE).

The 10 most intense peaks (10 to 80 degrees two-theta), in order of rising 2θ:
22.51 deg, I 12
26.05 deg, I 33
37.18 deg, I 100
43.90 deg, I 6
45.96 deg, I 10
53.59 deg, I 18
58.84 deg, I 2
60.53 deg, I 13
67.02 deg, I 36
79.21 deg, I 11

Atomic structure:
a = 4.837 Å, b = 4.837 Å, c = 4.837 Å
α = 60.00°, β = 60.00°, γ = 60.00°
Positions (direct):
Li 0.000 0.000 0.000
Lu 0.250 0.250 0.250
Lu 0.750 0.750 0.750
Rh 0.500 0.500 0.500

=====

No. 3
This entry pairs a crystal structure of Ca3Bi3N5 with its theoretical PXRD pattern. Radiation: λ = 1.5418 Å (Cu Kα). Structure: a structure optimized by DFT (GGA-PBE).

The 10 most intense peaks (10 to 80 degrees two-theta), in order of rising 2θ:
12.97 deg, I 40
19.18 deg, I 37
27.84 deg, I 85
28.65 deg, I 66
29.44 deg, I 74
29.65 deg, I 86
30.81 deg, I 100
31.85 deg, I 82
32.33 deg, I 36
35.08 deg, I 45

Atomic structure:
a = 6.549 Å, b = 7.226 Å, c = 9.353 Å
α = 102.60°, β = 106.81°, γ = 99.85°
Positions (direct):
Ca 0.167 0.339 0.261
Ca 0.181 0.198 0.589
Ca 0.244 0.518 0.955
Ca 0.756 0.482 0.045
Ca 0.819 0.802 0.411
Ca 0.833 0.661 0.739
Bi 0.242 0.054 0.943
Bi 0.309 0.846 0.278
Bi 0.318 0.676 0.628
Bi 0.682 0.324 0.372
Bi 0.691 0.154 0.722
Bi 0.758 0.946 0.057
N 0.037 0.640 0.291
N 0.061 0.812 0.021
N 0.118 0.891 0.677
N 0.389 0.167 0.415
N 0.477 0.399 0.157
N 0.523 0.601 0.843
N 0.611 0.833 0.585
N 0.882 0.109 0.323
N 0.939 0.188 0.979
N 0.963 0.360 0.709

=====

No. 4
This entry pairs a crystal structure of K2NaCoC6N6 with its theoretical PXRD pattern. Radiation: λ = 1.5418 Å (Cu Kα). Structure: a structure optimized by DFT (GGA-PBE).

The 10 most intense peaks (10 to 80 degrees two-theta), in order of rising 2θ:
14.43 deg, I 77
15.19 deg, I 43
17.07 deg, I 51
23.40 deg, I 43
24.11 deg, I 100
24.33 deg, I 96
25.07 deg, I 36
28.95 deg, I 43
34.52 deg, I 93
43.45 deg, I 33

Atomic structure:
a = 7.105 Å, b = 7.604 Å, c = 12.526 Å
α = 90.00°, β = 123.83°, γ = 90.00°
Positions (direct):
K 0.222 0.077 0.248
K 0.222 0.423 0.748
K 0.778 0.577 0.252
K 0.778 0.923 0.752
Na 0.000 0.000 0.500
Na 0.000 0.500 0.000
Co 0.500 0.000 0.000
Co 0.500 0.500 0.500
C 0.245 0.129 0.963
C 0.245 0.371 0.463
C 0.328 0.707 0.453
C 0.328 0.793 0.953
C 0.414 0.027 0.830
C 0.414 0.473 0.330
C 0.586 0.527 0.670
C 0.586 0.973 0.170
C 0.672 0.207 0.047
C 0.672 0.293 0.547
C 0.755 0.629 0.537
C 0.755 0.871 0.037
N 0.084 0.210 0.937
N 0.084 0.290 0.437
N 0.216 0.665 0.923
N 0.216 0.835 0.423
N 0.358 0.047 0.723
N 0.358 0.453 0.223
N 0.642 0.547 0.777
N 0.642 0.953 0.277
N 0.784 0.165 0.577
N 0.784 0.335 0.077
N 0.916 0.710 0.563
N 0.916 0.790 0.063

=====

No. 5
This entry pairs a crystal structure of SbP4O12 with its theoretical PXRD pattern. Radiation: λ = 1.5418 Å (Cu Kα). Structure: a structure optimized by DFT (GGA-PBE).

The 10 most intense peaks (10 to 80 degrees two-theta), in order of rising 2θ:
10.49 deg, I 67
14.41 deg, I 100
17.34 deg, I 27
21.09 deg, I 26
21.99 deg, I 54
24.49 deg, I 33
25.64 deg, I 33
28.52 deg, I 22
33.22 deg, I 16
33.61 deg, I 23

Atomic structure:
a = 10.540 Å, b = 10.540 Å, c = 5.450 Å
α = 98.07°, β = 98.07°, γ = 71.34°
Positions (direct):
Sb 0.000 0.500 0.000
Sb 0.500 0.000 0.000
P 0.127 0.728 0.819
P 0.207 0.448 0.546
P 0.272 0.873 0.181
P 0.448 0.207 0.546
P 0.552 0.793 0.454
P 0.728 0.127 0.819
P 0.793 0.552 0.454
P 0.873 0.272 0.181
O 0.038 0.681 0.969
O 0.060 0.841 0.671
O 0.113 0.403 0.680
O 0.159 0.940 0.329
O 0.183 0.436 0.263
O 0.212 0.593 0.650
O 0.259 0.741 0.000
O 0.319 0.962 0.031
O 0.360 0.360 0.620
O 0.403 0.113 0.680
O 0.407 0.788 0.350
O 0.436 0.183 0.263
O 0.564 0.817 0.737
O 0.593 0.212 0.650
O 0.597 0.887 0.320
O 0.640 0.640 0.380
O 0.681 0.038 0.969
O 0.741 0.259 0.000
O 0.788 0.407 0.350
O 0.817 0.564 0.737
O 0.841 0.060 0.671
O 0.887 0.597 0.320
O 0.940 0.159 0.329
O 0.962 0.319 0.031